For Na2Li2MoF6, a structure optimized by DFT (PBE+U) gives the calculated powder X-ray diffraction pattern in this record (Cu Ka).
Intensities are scaled so that the largest is 100.

Crystal structure
```
data_Na2Li2MoF6
_symmetry_space_group_name_H-M 'R -3 m'
_symmetry_Int_Tables_number 166
_symmetry_space_group_name_Hall '-R 3 2"'
_cell_length_a 5.8483
_cell_length_b 5.8483
_cell_length_c 16.8832
_cell_angle_alpha 90.00
_cell_angle_beta 90.00
_cell_angle_gamma 120.00
loop_
_atom_site_label
_atom_site_type_symbol
_atom_site_fract_x
_atom_site_fract_y
_atom_site_fract_z
Na1 Na 0.0000 0.0000 0.1949
Li1 Li 0.0000 0.0000 0.4040
Mo1 Mo 0.0000 0.0000 0.0000
F1 F 0.0243 0.5122 0.7530
```

Peak list (8 most intense, 2θ from 5° to 70°, by angle)
| Position (°2θ) | d/Å | I (rel.) | h k l |
| --- | --- | --- | --- |
| 18.3 | 4.851 | 100.0 | 1 0 1 |
| 20.4 | 4.343 | 61.7 | 0 1 2 |
| 30.6 | 2.924 | 28.5 | 1 1 0 |
| 31.9 | 2.810 | 35.7 | 0 1 5 |
| 35.9 | 2.504 | 15.3 | 0 2 1 |
| 41.6 | 2.172 | 37.8 | 0 2 4 |
| 44.7 | 2.027 | 48.7 | 2 0 5 |
| 55.2 | 1.665 | 21.5 | 1 2 5 |